Simulated X-ray diffraction stick pattern
Compound: Co2SbIrO6
Radiation: Cu Kα (λ = 1.5418 Å)
Structure: DFT lattice parameters and positions (PBE+U)

Most intense lines, 2θ = 5–70°, by angle:
2θ/deg  Rel. int.
23.3  82.0
32.3  100.0
33.9  95.1
41.5  14.1
47.5  39.6
52.5  52.9
54.6  14.9
56.7  10.1
59.7  37.2
60.6  29.5

Structural model:
```
Co2SbIrO6
1.0
2.645 1.527 4.632
-2.645 1.527 4.632
0.000 -3.055 4.632
Co Sb Ir O
2 1 1 6
Direct
0.000 0.000 0.000
0.498 0.498 0.498
0.790 0.790 0.790
0.293 0.293 0.293
0.078 0.399 0.689
0.182 0.899 0.580
0.399 0.689 0.078
0.580 0.182 0.899
0.689 0.078 0.399
0.899 0.580 0.182
```